Diffraction record for Sn2Bi3. The X-ray diffraction stick pattern is theoretical, not measured: it uses a PBE-relaxed structure and copper Kα.
Kinematic intensities with the Lorentz-polarization factor, no thermal factor.

The 10 most intense peaks (2θ from 5° to 70°), by angle:
(1 1 0), 2θ 21.67, I = 80
(0 2 1), 2θ 26.97, I = 30
(0 0 3), 2θ 29.59, I = 61
(2 0 2), 2θ 32.03, I = 26
(2 1 1), 2θ 34.86, I = 100
(1 1 3), 2θ 36.98, I = 42
(1 2 2), 2θ 39.00, I = 82
(2 1 4), 2θ 52.90, I = 28
(1 2 5), 2θ 61.78, I = 24
(4 1 3), 2θ 67.99, I = 27

Crystal structure
Cell: 8.2011 8.2011 9.0570 Å, 90.00 90.00 120.00°
Space group R32 (No. 155, hexagonal axes)
Asymmetric unit:
Sn: 0.0000 0.0000 0.1788 x6
Bi: 0.0000 0.2389 0.5000 x9

---

Diffraction record for Sr2Sn2Bi3. The X-ray diffraction stick pattern is theoretical, not measured: it uses a PBE-relaxed structure and copper Kα.
Kinematic intensities with the Lorentz-polarization factor, no thermal factor.

The 10 most intense peaks (2θ from 5° to 70°), by angle:
(2 0 0), 2θ 11.38, I = 40
(1 1 0), 2θ 18.74, I = 28
(2 0 1), 2θ 19.61, I = 47
(2 0 -2), 2θ 22.96, I = 29
(3 1 -1), 2θ 24.73, I = 100
(3 1 -2), 2θ 30.27, I = 67
(2 0 2), 2θ 30.89, I = 36
(5 1 0), 2θ 34.01, I = 85
(0 2 0), 2θ 36.13, I = 38
(1 1 -3), 2θ 40.00, I = 27

Crystal structure
Cell: 16.729 4.973 7.785 Å, 90.00 111.69 90.00°
Space group C2/m (No. 12)
Asymmetric unit:
Sr: 0.110 0.000 0.391 x4
Sn: 0.187 0.500 0.804 x4
Bi: 0.000 0.500 0.500 x2
Bi: 0.203 0.500 0.211 x4

---

Copy entry 2 word for word.
Diffraction record for Sr2Sn2Bi3. The X-ray diffraction stick pattern is theoretical, not measured: it uses a PBE-relaxed structure and copper Kα.
Kinematic intensities with the Lorentz-polarization factor, no thermal factor.

The 10 most intense peaks (2θ from 5° to 70°), by angle:
(2 0 0), 2θ 11.38, I = 40
(1 1 0), 2θ 18.74, I = 28
(2 0 1), 2θ 19.61, I = 47
(2 0 -2), 2θ 22.96, I = 29
(3 1 -1), 2θ 24.73, I = 100
(3 1 -2), 2θ 30.27, I = 67
(2 0 2), 2θ 30.89, I = 36
(5 1 0), 2θ 34.01, I = 85
(0 2 0), 2θ 36.13, I = 38
(1 1 -3), 2θ 40.00, I = 27

Crystal structure
Cell: 16.729 4.973 7.785 Å, 90.00 111.69 90.00°
Space group C2/m (No. 12)
Asymmetric unit:
Sr: 0.110 0.000 0.391 x4
Sn: 0.187 0.500 0.804 x4
Bi: 0.000 0.500 0.500 x2
Bi: 0.203 0.500 0.211 x4

---

Question: Number 2 is which compound?
Answer: Sr2Sn2Bi3